TlRe6Se8Cl3: simulated PXRD pattern (Cu Kα X-rays), based on a DFT-relaxed cell (GGA-PBE, the Materials Project).

Atomic structure:
Lattice parameters (Å, degrees): 9.207 9.278 11.228 90.60 110.07 94.20
Fractional coordinates of all 36 atoms:
Tl1 0.045 0.345 0.138
Tl2 0.955 0.655 0.862
Re1 0.140 0.052 0.648
Re2 0.299 0.258 0.814
Re3 0.300 0.261 0.579
Re4 0.392 0.994 0.838
Re5 0.393 0.993 0.602
Re6 0.443 0.800 0.232
Re7 0.557 0.200 0.768
Re8 0.607 0.007 0.398
Re9 0.608 0.006 0.162
Re10 0.700 0.739 0.421
Re11 0.701 0.742 0.186
Re12 0.860 0.948 0.352
Se1 0.061 0.309 0.630
Se2 0.146 0.050 0.876
Se3 0.155 0.056 0.418
Se4 0.235 0.799 0.674
Se5 0.368 0.059 0.213
Se6 0.448 0.787 0.460
Se7 0.450 0.788 0.007
Se8 0.459 0.452 0.744
Se9 0.541 0.548 0.256
Se10 0.550 0.212 0.993
Se11 0.552 0.213 0.540
Se12 0.632 0.941 0.787
Se13 0.765 0.201 0.326
Se14 0.845 0.944 0.582
Se15 0.854 0.950 0.124
Se16 0.939 0.691 0.370
Cl1 0.174 0.702 0.157
Cl2 0.235 0.432 0.950
Cl3 0.244 0.438 0.417
Cl4 0.756 0.562 0.583
Cl5 0.765 0.568 0.050
Cl6 0.826 0.298 0.843

Main lines, in order of rising 2θ (2θ from 10° to 80°):
2θ (°), I_rel
10.26, 47.9
10.79, 55.6
12.49, 86.5
14.09, 100.0
14.61, 70.7
15.36, 38.1
32.73, 25.5
41.26, 20.4
43.92, 33.5
44.35, 69.4

***

NdMgCd2: simulated PXRD pattern (Cu Kα X-rays), based on a DFT-relaxed cell (GGA-PBE, the Materials Project).

Atomic structure:
Lattice parameters (Å, degrees): 5.202 5.202 5.202 60.00 60.00 60.00
Fractional coordinates of all 4 atoms:
Nd1 0.000 0.000 0.000
Mg1 0.500 0.500 0.500
Cd1 0.250 0.250 0.250
Cd2 0.750 0.750 0.750

Main lines, in order of rising 2θ (2θ from 10° to 80°):
2θ (°), I_rel
20.91, 20.5
24.19, 2.8
34.48, 100.0
40.67, 11.2
49.56, 17.5
54.36, 4.8
61.77, 35.4
65.98, 3.6
72.71, 10.8
76.62, 3.6

***

UMnAl: simulated PXRD pattern (Cu Kα X-rays), based on a DFT-relaxed cell (GGA-PBE, the Materials Project).

Atomic structure:
Lattice parameters (Å, degrees): 5.145 5.145 5.145 119.94 115.07 94.43
Fractional coordinates of all 6 atoms:
U1 0.412 0.162 0.250
U2 0.588 0.838 0.750
Mn1 0.000 0.500 0.500
Mn2 0.500 0.500 0.000
Al1 0.000 0.000 0.500
Al2 0.000 0.500 0.000

Main lines, in order of rising 2θ (2θ from 10° to 80°):
2θ (°), I_rel
20.50, 100.0
32.42, 23.9
34.84, 33.3
35.03, 82.8
39.20, 45.4
40.76, 64.1
41.69, 20.8
42.59, 46.4
59.52, 18.7
67.84, 19.0

***

LiMg2: simulated PXRD pattern (Cu Kα X-rays), based on a DFT-relaxed cell (GGA-PBE, the Materials Project).

Atomic structure:
Lattice parameters (Å, degrees): 8.375 8.375 5.069 90.00 90.00 158.49
Fractional coordinates of all 6 atoms:
Li1 0.055 0.945 0.750
Li2 0.945 0.055 0.250
Mg1 0.279 0.721 0.250
Mg2 0.391 0.609 0.750
Mg3 0.609 0.391 0.250
Mg4 0.721 0.279 0.750

Main lines, in order of rising 2θ (2θ from 10° to 80°):
2θ (°), I_rel
10.75, 49.2
27.93, 23.6
29.08, 16.6
32.99, 23.4
35.42, 39.2
37.28, 50.0
37.58, 100.0
58.48, 17.2
65.01, 18.7
70.26, 19.1

***

Mg2CrMo3S8: simulated PXRD pattern (Cu Kα X-rays), based on a DFT-relaxed cell (GGA-PBE, the Materials Project).

Atomic structure:
Lattice parameters (Å, degrees): 7.386 7.386 7.386 60.29 60.29 60.29
Fractional coordinates of all 14 atoms:
Mg1 0.124 0.124 0.124
Mg2 0.876 0.876 0.876
Cr1 0.500 0.500 0.500
Mo1 0.000 0.500 0.500
Mo2 0.500 0.000 0.500
Mo3 0.500 0.500 0.000
S1 0.261 0.261 0.261
S2 0.266 0.266 0.715
S3 0.266 0.715 0.266
S4 0.285 0.734 0.734
S5 0.715 0.266 0.266
S6 0.734 0.285 0.734
S7 0.734 0.734 0.285
S8 0.739 0.739 0.739

Main lines, in order of rising 2θ (2θ from 10° to 80°):
2θ (°), I_rel
14.67, 100.0
28.24, 72.1
28.36, 17.1
34.27, 95.7
44.97, 29.9
45.08, 14.3
49.13, 43.1
49.36, 43.5
51.56, 13.2
61.26, 14.4